ZnH6CI3N3: calculated PXRD pattern (CuKα), based on DFT lattice parameters and positions (PBE).
Lines closer than 0.1° are merged.

Largest 12 diffraction maxima, most intense first, 2θ from 10° to 90°:
- 2θ = 22.22°, I 100
- 2θ = 11.06°, I 96
- 2θ = 24.81°, I 58
- 2θ = 25.26°, I 49
- 2θ = 26.63°, I 48
- 2θ = 39.65°, I 33
- 2θ = 28.54°, I 23
- 2θ = 14.16°, I 23
- 2θ = 26.99°, I 23
- 2θ = 39.34°, I 19
- 2θ = 44.09°, I 18
- 2θ = 41.79°, I 17

Unit cell a=4.3246 b=8.1247 c=8.1545 alpha=79.53 beta=89.69 gamma=88.67
Space group P1 (No. 1)
One atom of each set of equivalent atoms:
1 Zn 0.0000 0.0000 0.0000 [1 per cell]
2 H 0.3336 0.8276 0.5969 [1 per cell]
3 H 0.3413 0.5875 0.8199 [1 per cell]
4 H 0.4462 0.3933 0.7733 [1 per cell]
5 H 0.4717 0.8045 0.4022 [1 per cell]
6 H 0.6539 0.5438 0.3531 [1 per cell]
7 H 0.6673 0.3723 0.5171 [1 per cell]
8 C 0.4842 0.5880 0.5771 [1 per cell]
9 I 0.0223 0.1040 0.6798 [1 per cell]
10 I 0.0252 0.6767 0.0860 [1 per cell]
11 I 0.4985 0.1286 0.1388 [1 per cell]
12 N 0.4310 0.5196 0.7364 [1 per cell]
13 N 0.4308 0.7517 0.5229 [1 per cell]
14 N 0.5916 0.4916 0.4717 [1 per cell]